No. 1
Diffraction record for Os. The PXRD pattern is calculated, not measured: it uses a structure optimized by DFT (GGA-PBE) and Cu Kα, 1.54184 Å.
Intensities are scaled so that the largest is 100.

The 8 most intense peaks (10° ≤ 2θ ≤ 90°), sorted by position:
37.77°, rel. 24; 41.57°, rel. 25; 43.32°, rel. 100; 57.41°, rel. 15; 68.19°, rel. 18; 77.07°, rel. 19; 83.13°, rel. 21; 84.31°, rel. 15

Structural model:
```
4
Lattice="-1.375 4.345 2.382 1.375 -4.345 2.382 1.375 4.345 -2.382" Properties=species:S:1:pos:R:3 pbc="T T T"
Os 0.000 0.000 0.000
Os 1.375 2.179 -0.792
Os 0.000 4.345 0.004
Os 0.000 2.166 1.590
```



No. 2
Diffraction record for P4Os3. The PXRD pattern is calculated, not measured: it uses a structure optimized by DFT (GGA-PBE) and Cu Kα, 1.54184 Å.
Intensities are scaled so that the largest is 100.

The 8 most intense peaks (10° ≤ 2θ ≤ 90°), sorted by position:
19.47°, rel. 39; 31.02°, rel. 100; 34.06°, rel. 20; 48.94°, rel. 31; 51.08°, rel. 25; 57.15°, rel. 15; 66.45°, rel. 23; 80.17°, rel. 21

Structural model:
```
14
Lattice="6.447 0.000 0.000 0.000 6.447 0.000 0.000 0.000 6.447" Properties=species:S:1:pos:R:3 pbc="T T T"
P 1.612 1.612 1.612
P 1.612 1.612 4.836
P 1.612 4.836 1.612
P 1.612 4.836 4.836
P 4.836 1.612 1.612
P 4.836 1.612 4.836
P 4.836 4.836 1.612
P 4.836 4.836 4.836
Os 0.000 1.612 3.224
Os 0.000 4.836 3.224
Os 1.612 3.224 0.000
Os 3.224 0.000 1.612
Os 3.224 0.000 4.836
Os 4.836 3.224 0.000
```



No. 3
Diffraction record for P4Os. The PXRD pattern is calculated, not measured: it uses a structure optimized by DFT (GGA-PBE) and Cu Kα, 1.54184 Å.
Intensities are scaled so that the largest is 100.

The 8 most intense peaks (10° ≤ 2θ ≤ 90°), sorted by position:
19.08°, rel. 100; 21.63°, rel. 90; 23.83°, rel. 61; 25.30°, rel. 49; 26.42°, rel. 55; 29.08°, rel. 42; 31.14°, rel. 89; 31.38°, rel. 87

Structural model:
```
15
Lattice="4.744 0.000 0.000 -1.299 7.078 0.000 -0.047 -2.808 7.045" Properties=species:S:1:pos:R:3 pbc="T T T"
P -0.023 1.473 2.813
P -0.578 5.124 1.896
P 0.601 -2.028 6.615
P 0.336 3.918 0.342
P 0.985 0.345 4.396
P 0.407 3.924 5.033
P 2.991 0.345 2.013
P 2.413 3.925 2.649
P 3.062 0.351 6.704
P 2.797 6.297 0.430
P 3.976 -0.854 5.149
P 3.421 2.797 4.233
Os 1.601 2.150 1.212
Os 2.348 -1.404 3.523
Os 1.797 2.120 5.834
```



No. 4
Diffraction record for P8Os. The PXRD pattern is calculated, not measured: it uses a structure optimized by DFT (GGA-PBE) and Cu Kα, 1.54184 Å.
Intensities are scaled so that the largest is 100.

The 8 most intense peaks (10° ≤ 2θ ≤ 90°), sorted by position:
15.48°, rel. 100; 17.89°, rel. 86; 22.25°, rel. 53; 22.57°, rel. 53; 23.83°, rel. 60; 28.87°, rel. 78; 30.25°, rel. 78; 33.01°, rel. 100

Structural model:
```
9
Lattice="5.130 0.000 0.000 1.438 4.981 0.000 1.388 0.553 5.724" Properties=species:S:1:pos:R:3 pbc="T T T"
P 1.482 1.963 0.757
P 2.361 3.934 1.348
P 3.026 3.550 3.479
P 2.443 0.593 3.839
P 5.514 4.941 1.884
P 4.931 1.984 2.245
P 5.595 1.600 4.376
P 6.475 3.571 4.967
Os 2.565 0.000 0.000
```



No. 5
Diffraction record for Rb2P2Os. The PXRD pattern is calculated, not measured: it uses a structure optimized by DFT (GGA-PBE) and Cu Kα, 1.54184 Å.
Intensities are scaled so that the largest is 100.

The 8 most intense peaks (10° ≤ 2θ ≤ 90°), sorted by position:
11.05°, rel. 100; 14.41°, rel. 92; 26.79°, rel. 50; 27.32°, rel. 61; 31.00°, rel. 56; 35.07°, rel. 27; 37.20°, rel. 38; 40.59°, rel. 42

Structural model:
```
10
Lattice="3.327 -8.004 0.000 3.327 8.004 0.000 0.000 0.000 5.258" Properties=species:S:1:pos:R:3 pbc="T T T"
Rb 3.327 6.780 3.943
Rb 3.327 3.463 1.314
Rb 3.327 -3.463 3.943
Rb 3.327 -6.780 1.314
P 2.222 1.739 3.943
P 2.222 -1.739 1.314
P 4.433 1.739 3.943
P 4.433 -1.739 1.314
Os 3.327 0.000 0.000
Os 3.327 0.000 2.629
```



No. 6
Diffraction record for ReOs2Pb. The PXRD pattern is calculated, not measured: it uses a structure optimized by DFT (GGA-PBE) and Cu Kα, 1.54184 Å.
Intensities are scaled so that the largest is 100.

The 4 most intense peaks (10° ≤ 2θ ≤ 90°), sorted by position:
39.68°, rel. 100; 57.37°, rel. 17; 72.01°, rel. 36; 85.50°, rel. 12

Structural model:
```
4
Lattice="0.000 3.212 3.212 3.212 0.000 3.212 3.212 3.212 0.000" Properties=species:S:1:pos:R:3 pbc="T T T"
Re 0.000 0.000 0.000
Os 1.606 1.606 1.606
Os 3.212 3.212 3.212
Pb 4.818 4.818 4.818
```



No. 7
Diffraction record for Ta2Os3Pb2. The PXRD pattern is calculated, not measured: it uses a structure optimized by DFT (GGA-PBE) and Cu Kα, 1.54184 Å.
Intensities are scaled so that the largest is 100.

The 8 most intense peaks (10° ≤ 2θ ≤ 90°), sorted by position:
36.57°, rel. 10; 39.65°, rel. 100; 39.97°, rel. 92; 57.56°, rel. 32; 71.95°, rel. 18; 72.16°, rel. 33; 72.81°, rel. 13; 85.42°, rel. 12

Structural model:
```
7
Lattice="2.273 1.312 7.339 -2.273 1.312 7.339 0.000 -2.625 7.339" Properties=species:S:1:pos:R:3 pbc="T T T"
Ta 0.000 0.000 0.000
Ta 0.000 0.000 10.886
Os 0.000 0.000 8.150
Os 0.000 0.000 13.701
Os 0.000 0.000 19.272
Pb 0.000 0.000 5.216
Pb 0.000 0.000 16.567
```



No. 8
Diffraction record for Re6OsPd. The PXRD pattern is calculated, not measured: it uses a structure optimized by DFT (GGA-PBE) and Cu Kα, 1.54184 Å.
Intensities are scaled so that the largest is 100.

The 8 most intense peaks (10° ≤ 2θ ≤ 90°), sorted by position:
37.40°, rel. 24; 40.89°, rel. 25; 42.82°, rel. 100; 56.60°, rel. 15; 67.46°, rel. 17; 75.79°, rel. 19; 81.99°, rel. 20; 83.29°, rel. 15

Structural model:
```
8
Lattice="5.553 0.000 0.000 -2.777 4.809 0.000 0.000 0.000 4.414" Properties=species:S:1:pos:R:3 pbc="T T T"
Re -1.353 2.425 0.000
Re 0.000 1.662 2.207
Re -1.338 3.979 2.207
Re 1.353 2.425 0.000
Re 0.000 4.768 0.000
Re 1.338 3.979 2.207
Os 0.000 0.000 0.000
Pd 2.777 1.603 2.207
```